No. 1
Theoretical X-ray powder pattern of GaCuTe2 for Cu Kα, from a cell relaxed with GGA-PBE.
Lines closer than 0.1° are merged.

Top 10 peaks for 10 to 90 degrees two-theta, low angle first:
2θ (°), Rel. int.
25.24, 100
25.42, 30
41.76, 48
41.99, 43
49.49, 44
49.72, 14
60.72, 14
66.66, 14
76.41, 14
81.90, 10

Crystal structure
Lattice parameters (Å, degrees): 4.326 4.326 21.027 90.00 90.00 120.00
Positions (direct):
Ga 0.000 0.000 0.000
Ga 0.333 0.667 0.667
Ga 0.667 0.333 0.333
Cu 0.000 0.000 0.487
Cu 0.333 0.667 0.154
Cu 0.667 0.333 0.820
Te 0.000 0.000 0.124
Te 0.000 0.000 0.611
Te 0.333 0.667 0.278
Te 0.333 0.667 0.790
Te 0.667 0.333 0.457
Te 0.667 0.333 0.945


No. 2
Theoretical X-ray powder pattern of BaUTiO6 for Cu Kα, from a cell relaxed with GGA-PBE.
Lines closer than 0.1° are merged.

Top 10 peaks for 10 to 90 degrees two-theta, low angle first:
2θ (°), Rel. int.
13.73, 46
17.68, 24
20.71, 22
24.78, 100
26.92, 24
27.66, 44
28.65, 72
29.04, 43
46.67, 17
47.20, 17

Crystal structure
Lattice parameters (Å, degrees): 6.623 8.652 10.300 90.00 103.11 90.00
Positions (direct):
Ba 0.035 0.234 0.342
Ba 0.035 0.266 0.842
Ba 0.965 0.734 0.158
Ba 0.965 0.766 0.658
U 0.477 0.018 0.178
U 0.477 0.482 0.678
U 0.523 0.518 0.322
U 0.523 0.982 0.822
Ti 0.385 0.651 0.950
Ti 0.385 0.849 0.450
Ti 0.615 0.151 0.550
Ti 0.615 0.349 0.050
O 0.123 0.659 0.946
O 0.123 0.841 0.446
O 0.189 0.045 0.127
O 0.189 0.455 0.627
O 0.234 0.010 0.764
O 0.234 0.490 0.264
O 0.418 0.714 0.776
O 0.418 0.786 0.276
O 0.428 0.062 0.387
O 0.428 0.438 0.887
O 0.496 0.150 0.988
O 0.496 0.350 0.488
O 0.504 0.650 0.512
O 0.504 0.850 0.012
O 0.572 0.562 0.113
O 0.572 0.938 0.613
O 0.582 0.214 0.724
O 0.582 0.286 0.224
O 0.766 0.510 0.736
O 0.766 0.990 0.236
O 0.811 0.545 0.373
O 0.811 0.955 0.873
O 0.877 0.159 0.554
O 0.877 0.341 0.054


No. 3
Theoretical X-ray powder pattern of Ge2Te5As2 for Cu Kα, from a cell relaxed with GGA-PBE.
Lines closer than 0.1° are merged.

Top 10 peaks for 10 to 90 degrees two-theta, low angle first:
2θ (°), Rel. int.
26.86, 12
29.37, 100
32.59, 9
40.54, 27
43.46, 39
45.07, 13
53.33, 19
71.15, 15
71.77, 13
77.81, 14

Crystal structure
Lattice parameters (Å, degrees): 4.164 4.164 16.965 90.00 90.00 120.00
Positions (direct):
Ge 0.333 0.667 0.395
Ge 0.667 0.333 0.605
Te 0.000 0.000 0.500
Te 0.333 0.667 0.091
Te 0.333 0.667 0.708
Te 0.667 0.333 0.292
Te 0.667 0.333 0.909
As 0.000 0.000 0.182
As 0.000 0.000 0.818


No. 4
Theoretical X-ray powder pattern of NdEuHfTiO6 for Cu Kα, from a cell relaxed with GGA-PBE.
Lines closer than 0.1° are merged.

Top 10 peaks for 10 to 90 degrees two-theta, low angle first:
2θ (°), Rel. int.
19.07, 14
31.38, 100
36.98, 9
38.69, 5
44.98, 29
49.27, 4
55.87, 40
65.49, 18
74.42, 17
82.98, 6

Crystal structure
Lattice parameters (Å, degrees): 5.701 5.701 5.701 60.00 60.00 60.00
Positions (direct):
Nd 0.000 0.000 0.000
Eu 0.500 0.500 0.500
Hf 0.250 0.250 0.250
Ti 0.750 0.750 0.750
O 0.504 0.504 0.996
O 0.504 0.996 0.504
O 0.504 0.996 0.996
O 0.996 0.504 0.504
O 0.996 0.504 0.996
O 0.996 0.996 0.504


No. 5
Theoretical X-ray powder pattern of Al3V for Cu Kα, from a cell relaxed with GGA-PBE.
Lines closer than 0.1° are merged.

Top 10 peaks for 10 to 90 degrees two-theta, low angle first:
2θ (°), Rel. int.
21.38, 4
25.97, 11
40.22, 100
43.56, 20
48.33, 29
67.07, 21
70.75, 9
77.70, 13
84.64, 21
86.88, 10

Crystal structure
Lattice parameters (Å, degrees): 3.767 3.767 8.311 90.00 90.00 90.00
Positions (direct):
Al 0.000 0.000 0.000
Al 0.000 0.500 0.250
Al 0.000 0.500 0.750
Al 0.500 0.000 0.250
Al 0.500 0.000 0.750
Al 0.500 0.500 0.500
V 0.000 0.000 0.500
V 0.500 0.500 0.000


No. 6
Theoretical X-ray powder pattern of Pr4B3O10F for Cu Kα, from a cell relaxed with GGA-PBE.
Lines closer than 0.1° are merged.

Top 10 peaks for 10 to 90 degrees two-theta, low angle first:
2θ (°), Rel. int.
21.02, 58
25.87, 82
27.96, 63
28.66, 43
29.41, 79
31.00, 100
33.13, 31
34.20, 41
35.94, 42
42.36, 36

Crystal structure
Lattice parameters (Å, degrees): 6.654 8.841 8.881 105.83 106.38 106.68
Positions (direct):
Pr 0.002 0.147 0.236
Pr 0.215 0.359 0.803
Pr 0.332 0.809 0.167
Pr 0.354 0.657 0.542
Pr 0.646 0.343 0.458
Pr 0.668 0.191 0.833
Pr 0.785 0.641 0.197
Pr 0.998 0.853 0.764
B 0.219 0.455 0.173
B 0.252 0.015 0.496
B 0.427 0.166 0.072
B 0.573 0.834 0.928
B 0.748 0.985 0.504
B 0.781 0.545 0.827
O 0.036 0.294 0.043
O 0.094 0.923 0.330
O 0.133 0.588 0.247
O 0.292 0.074 0.136
O 0.321 0.934 0.600
O 0.331 0.144 0.903
O 0.340 0.735 0.836
O 0.344 0.418 0.320
O 0.346 0.193 0.554
O 0.372 0.534 0.097
O 0.628 0.466 0.903
O 0.654 0.807 0.446
O 0.656 0.582 0.680
O 0.660 0.265 0.164
O 0.669 0.856 0.097
O 0.679 0.066 0.400
O 0.708 0.926 0.864
O 0.867 0.412 0.753
O 0.906 0.077 0.670
O 0.964 0.706 0.957
F 0.068 0.375 0.506
F 0.932 0.625 0.494


No. 7
Theoretical X-ray powder pattern of PmNd3 for Cu Kα, from a cell relaxed with GGA-PBE.
Lines closer than 0.1° are merged.

Top 10 peaks for 10 to 90 degrees two-theta, low angle first:
2θ (°), Rel. int.
29.71, 100
34.25, 17
34.54, 34
49.43, 24
49.65, 12
58.55, 15
58.94, 29
61.70, 13
80.26, 12
80.59, 6

Crystal structure
Lattice parameters (Å, degrees): 5.194 5.194 10.472 90.00 90.00 90.00
Positions (direct):
Pm 0.000 0.000 0.000
Pm 0.500 0.500 0.500
Nd 0.000 0.000 0.500
Nd 0.000 0.500 0.250
Nd 0.000 0.500 0.750
Nd 0.500 0.000 0.250
Nd 0.500 0.000 0.750
Nd 0.500 0.500 0.000